For AuCl2, a structure optimized by DFT (PBE) gives the computed XRD peak list in this record (λ = 1.5418 Å (Cu Kα)).
Intensities are scaled so that the largest is 100.

The 12 most intense peaks (2θ from 10° to 80°), by intensity:
- 2θ = 17.81°, I 100
- 2θ = 12.14°, I 96
- 2θ = 19.80°, I 83
- 2θ = 27.54°, I 70
- 2θ = 13.22°, I 69
- 2θ = 30.10°, I 55
- 2θ = 35.38°, I 47
- 2θ = 27.82°, I 42
- 2θ = 39.16°, I 42
- 2θ = 21.45°, I 36
- 2θ = 50.08°, I 36
- 2θ = 41.32°, I 32

Structural model:
Cell: 7.1505 7.3043 7.3505 Å, 88.18 69.74 86.63°
Atoms (fractional coordinates):
1 Au 0.1224 0.2474 0.0928
2 Au 0.2272 0.5171 0.4619
3 Au 0.7728 0.4829 0.5381
4 Au 0.8776 0.7526 0.9072
5 Cl 0.0723 0.7501 0.1004
6 Cl 0.1680 0.7915 0.6260
7 Cl 0.3222 0.2444 0.2932
8 Cl 0.4036 0.2820 0.8218
9 Cl 0.5964 0.7180 0.1782
10 Cl 0.6778 0.7556 0.7068
11 Cl 0.8320 0.2085 0.3740
12 Cl 0.9277 0.2499 0.8996

For AuCl4, a structure optimized by DFT (PBE) gives the computed XRD peak list in this record (λ = 1.5418 Å (Cu Kα)).
Intensities are scaled so that the largest is 100.

The 12 most intense peaks (2θ from 10° to 80°), by intensity:
- 2θ = 10.29°, I 100
- 2θ = 16.33°, I 41
- 2θ = 17.98°, I 28
- 2θ = 20.86°, I 16
- 2θ = 17.82°, I 14
- 2θ = 30.26°, I 13
- 2θ = 27.67°, I 11
- 2θ = 27.56°, I 10
- 2θ = 40.57°, I 10
- 2θ = 42.05°, I 10
- 2θ = 46.03°, I 10
- 2θ = 36.10°, I 9

Structural model:
Cell: 11.0515 11.0515 11.0515 Å, 126.45 126.45 79.15°
Atoms (fractional coordinates):
1 Au 0.3750 0.6250 0.7500
2 Au 0.6250 0.3750 0.2500
3 Cl 0.1404 0.6213 0.5190
4 Cl 0.3787 0.3977 0.5190
5 Cl 0.3787 0.8596 0.9810
6 Cl 0.3977 0.3787 0.0190
7 Cl 0.6023 0.6213 0.9810
8 Cl 0.6213 0.1404 0.0190
9 Cl 0.6213 0.6023 0.4810
10 Cl 0.8596 0.3787 0.4810

For AuCl, a structure optimized by DFT (PBE) gives the computed XRD peak list in this record (λ = 1.5418 Å (Cu Kα)).
Intensities are scaled so that the largest is 100.

The 12 most intense peaks (2θ from 10° to 80°), by intensity:
- 2θ = 22.60°, I 100
- 2θ = 23.34°, I 83
- 2θ = 25.40°, I 79
- 2θ = 25.87°, I 69
- 2θ = 42.02°, I 51
- 2θ = 53.16°, I 36
- 2θ = 33.46°, I 36
- 2θ = 31.96°, I 34
- 2θ = 46.52°, I 29
- 2θ = 41.12°, I 26
- 2θ = 46.92°, I 26
- 2θ = 42.90°, I 26

Structural model:
Cell: 7.6291 4.4969 5.3585 Å, 90.00 132.76 90.00°
Atoms (fractional coordinates):
1 Au 0.0000 0.0000 0.0000
2 Au 0.5000 0.5000 0.0000
3 Cl 0.3962 0.0000 0.9477
4 Cl 0.8962 0.5000 0.9477

For AuCl, a structure optimized by DFT (PBE) gives the computed XRD peak list in this record (λ = 1.5418 Å (Cu Kα)).
Intensities are scaled so that the largest is 100.

The 12 most intense peaks (2θ from 10° to 80°), by intensity:
- 2θ = 27.31°, I 100
- 2θ = 24.07°, I 42
- 2θ = 46.20°, I 41
- 2θ = 42.34°, I 38
- 2θ = 25.60°, I 35
- 2θ = 50.14°, I 35
- 2θ = 35.42°, I 23
- 2θ = 51.13°, I 19
- 2θ = 68.49°, I 16
- 2θ = 64.45°, I 15
- 2θ = 72.57°, I 11
- 2θ = 69.73°, I 9

Structural model:
Cell: 4.2690 4.2690 6.9595 Å, 90.00 90.00 120.00°
Atoms (fractional coordinates):
1 Au 0.3333 0.6667 0.0000
2 Au 0.6667 0.3333 0.5000
3 Cl 0.3333 0.6667 0.3753
4 Cl 0.6667 0.3333 0.8753

For AuCl, a structure optimized by DFT (PBE) gives the computed XRD peak list in this record (λ = 1.5418 Å (Cu Kα)).
Intensities are scaled so that the largest is 100.

The 12 most intense peaks (2θ from 10° to 80°), by intensity:
- 2θ = 15.91°, I 100
- 2θ = 32.14°, I 90
- 2θ = 29.43°, I 64
- 2θ = 41.76°, I 31
- 2θ = 61.07°, I 29
- 2θ = 35.07°, I 24
- 2θ = 55.35°, I 23
- 2θ = 46.42°, I 19
- 2θ = 50.44°, I 17
- 2θ = 33.20°, I 14
- 2θ = 55.63°, I 13
- 2θ = 38.72°, I 12

Structural model:
Cell: 7.2377 7.2377 8.7244 Å, 90.00 90.00 90.00°
Atoms (fractional coordinates):
1 Au 0.0000 0.0000 0.0000
2 Au 0.0000 0.5000 0.0000
3 Au 0.2500 0.2500 0.7500
4 Au 0.2500 0.7500 0.2500
5 Au 0.5000 0.0000 0.5000
6 Au 0.5000 0.5000 0.5000
7 Au 0.7500 0.2500 0.7500
8 Au 0.7500 0.7500 0.2500
9 Cl 0.0000 0.2500 0.1681
10 Cl 0.0000 0.2500 0.5819
11 Cl 0.0000 0.7500 0.4181
12 Cl 0.0000 0.7500 0.8319
13 Cl 0.5000 0.2500 0.3319
14 Cl 0.5000 0.2500 0.9181
15 Cl 0.5000 0.7500 0.0819
16 Cl 0.5000 0.7500 0.6681

For AuCl3, a structure optimized by DFT (PBE) gives the computed XRD peak list in this record (λ = 1.5418 Å (Cu Kα)).
Intensities are scaled so that the largest is 100.

The 12 most intense peaks (2θ from 10° to 80°), by intensity:
- 2θ = 13.75°, I 100
- 2θ = 20.56°, I 88
- 2θ = 21.16°, I 63
- 2θ = 28.03°, I 32
- 2θ = 39.52°, I 30
- 2θ = 14.88°, I 24
- 2θ = 20.31°, I 21
- 2θ = 16.72°, I 20
- 2θ = 45.94°, I 19
- 2θ = 36.80°, I 18
- 2θ = 54.73°, I 16
- 2θ = 33.31°, I 15

Structural model:
Cell: 7.1107 11.9099 6.9298 Å, 90.00 115.10 90.00°
Atoms (fractional coordinates):
1 Au 0.0398 0.0839 0.2220
2 Au 0.0398 0.4161 0.7220
3 Au 0.9602 0.5839 0.2780
4 Au 0.9602 0.9161 0.7780
5 Cl 0.1724 0.6542 0.1358
6 Cl 0.1724 0.8458 0.6358
7 Cl 0.2451 0.0047 0.0604
8 Cl 0.2451 0.4953 0.5604
9 Cl 0.3226 0.1649 0.4848
10 Cl 0.3226 0.3351 0.9848
11 Cl 0.6774 0.6649 0.0152
12 Cl 0.6774 0.8351 0.5152
13 Cl 0.7549 0.5047 0.4396
14 Cl 0.7549 0.9953 0.9396
15 Cl 0.8276 0.1542 0.3642
16 Cl 0.8276 0.3458 0.8642

For CsAuCl4, a structure optimized by DFT (PBE) gives the computed XRD peak list in this record (λ = 1.5418 Å (Cu Kα)).
Intensities are scaled so that the largest is 100.

The 12 most intense peaks (2θ from 10° to 80°), by intensity:
- 2θ = 18.77°, I 100
- 2θ = 29.72°, I 56
- 2θ = 19.65°, I 46
- 2θ = 24.67°, I 33
- 2θ = 41.05°, I 29
- 2θ = 27.67°, I 29
- 2θ = 34.36°, I 27
- 2θ = 40.87°, I 20
- 2θ = 16.99°, I 19
- 2θ = 50.51°, I 18
- 2θ = 25.37°, I 18
- 2θ = 27.91°, I 18

Structural model:
Cell: 7.3965 7.3965 10.2188 Å, 103.35 103.35 51.21°
Atoms (fractional coordinates):
1 Cs 0.2024 0.7976 0.7500
2 Cs 0.7976 0.2024 0.2500
3 Au 0.0000 0.5000 0.0000
4 Au 0.5000 0.0000 0.5000
5 Cl 0.1936 0.2600 0.6330
6 Cl 0.2247 0.6321 0.0692
7 Cl 0.2600 0.1936 0.1330
8 Cl 0.3679 0.7753 0.4308
9 Cl 0.6321 0.2247 0.5692
10 Cl 0.7400 0.8064 0.8670
11 Cl 0.7753 0.3679 0.9308
12 Cl 0.8064 0.7400 0.3670

For CsAuCl3, a structure optimized by DFT (PBE) gives the computed XRD peak list in this record (λ = 1.5418 Å (Cu Kα)).
Intensities are scaled so that the largest is 100.

The 12 most intense peaks (2θ from 10° to 80°), by intensity:
- 2θ = 24.17°, I 100
- 2θ = 42.53°, I 47
- 2θ = 34.45°, I 46
- 2θ = 49.51°, I 32
- 2θ = 67.28°, I 25
- 2θ = 55.84°, I 21
- 2θ = 17.03°, I 14
- 2θ = 77.83°, I 12
- 2θ = 61.71°, I 11
- 2θ = 38.67°, I 8
- 2θ = 72.63°, I 5
- 2θ = 52.74°, I 4

Structural model:
Cell: 5.2068 5.2068 5.2068 Å, 90.00 90.00 90.00°
Atoms (fractional coordinates):
1 Cs 0.0000 0.0000 0.0000
2 Au 0.5000 0.5000 0.5000
3 Cl 0.0000 0.5000 0.5000
4 Cl 0.5000 0.0000 0.5000
5 Cl 0.5000 0.5000 0.0000

For CsAuCl3, a structure optimized by DFT (PBE) gives the computed XRD peak list in this record (λ = 1.5418 Å (Cu Kα)).
Intensities are scaled so that the largest is 100.

The 12 most intense peaks (2θ from 10° to 80°), by intensity:
- 2θ = 22.81°, I 100
- 2θ = 23.41°, I 46
- 2θ = 40.79°, I 43
- 2θ = 33.35°, I 39
- 2θ = 46.60°, I 27
- 2θ = 31.60°, I 22
- 2θ = 39.70°, I 21
- 2θ = 62.57°, I 15
- 2θ = 51.30°, I 14
- 2θ = 16.50°, I 13
- 2θ = 47.88°, I 13
- 2θ = 58.50°, I 13

Structural model:
Cell: 7.8071 7.8071 7.8071 Å, 121.75 121.75 87.00°
Atoms (fractional coordinates):
1 Cs 0.2500 0.7500 0.5000
2 Cs 0.7500 0.2500 0.5000
3 Au 0.0000 0.0000 0.0000
4 Au 0.5000 0.5000 0.0000
5 Cl 0.2048 0.2048 0.0000
6 Cl 0.2803 0.2803 0.5607
7 Cl 0.2803 0.7197 0.0000
8 Cl 0.7197 0.2803 0.0000
9 Cl 0.7197 0.7197 0.4393
10 Cl 0.7952 0.7952 0.0000

For Cs2GaAuCl6, a structure optimized by DFT (PBE) gives the computed XRD peak list in this record (λ = 1.5418 Å (Cu Kα)).
Intensities are scaled so that the largest is 100.

The 12 most intense peaks (2θ from 10° to 80°), by intensity:
- 2θ = 24.17°, I 100
- 2θ = 34.44°, I 53
- 2θ = 42.52°, I 45
- 2θ = 49.51°, I 35
- 2θ = 67.27°, I 25
- 2θ = 55.83°, I 22
- 2θ = 77.82°, I 12
- 2θ = 61.70°, I 12
- 2θ = 28.42°, I 11
- 2θ = 14.73°, I 9
- 2θ = 29.71°, I 8
- 2θ = 37.65°, I 8

Structural model:
Cell: 7.3647 7.3647 7.3647 Å, 60.00 60.00 60.00°
Atoms (fractional coordinates):
1 Cs 0.2500 0.2500 0.2500
2 Cs 0.7500 0.7500 0.7500
3 Ga 0.0000 0.0000 0.0000
4 Au 0.5000 0.5000 0.5000
5 Cl 0.2348 0.2348 0.7652
6 Cl 0.2348 0.7652 0.2348
7 Cl 0.2348 0.7652 0.7652
8 Cl 0.7652 0.2348 0.2348
9 Cl 0.7652 0.2348 0.7652
10 Cl 0.7652 0.7652 0.2348

For Cs2GdAuCl6, a structure optimized by DFT (PBE) gives the computed XRD peak list in this record (λ = 1.5418 Å (Cu Kα)).
Intensities are scaled so that the largest is 100.

The 12 most intense peaks (2θ from 10° to 80°), by intensity:
- 2θ = 23.03°, I 100
- 2θ = 32.80°, I 49
- 2θ = 40.46°, I 47
- 2θ = 47.07°, I 34
- 2θ = 63.77°, I 25
- 2θ = 53.03°, I 22
- 2θ = 78.29°, I 15
- 2θ = 73.58°, I 13
- 2θ = 58.55°, I 12
- 2θ = 16.23°, I 11
- 2θ = 36.80°, I 6
- 2θ = 68.76°, I 5

Structural model:
Cell: 7.7232 7.7232 7.7232 Å, 60.00 60.00 60.00°
Atoms (fractional coordinates):
1 Cs 0.2500 0.2500 0.2500
2 Cs 0.7500 0.7500 0.7500
3 Gd 0.0000 0.0000 0.0000
4 Au 0.5000 0.5000 0.5000
5 Cl 0.2452 0.2452 0.7548
6 Cl 0.2452 0.7548 0.2452
7 Cl 0.2452 0.7548 0.7548
8 Cl 0.7548 0.2452 0.2452
9 Cl 0.7548 0.2452 0.7548
10 Cl 0.7548 0.7548 0.2452

For Cs2KAuCl6, a structure optimized by DFT (PBE) gives the computed XRD peak list in this record (λ = 1.5418 Å (Cu Kα)).
Intensities are scaled so that the largest is 100.

The 12 most intense peaks (2θ from 10° to 80°), by intensity:
- 2θ = 22.69°, I 100
- 2θ = 32.30°, I 55
- 2θ = 39.84°, I 45
- 2θ = 13.84°, I 38
- 2θ = 46.33°, I 37
- 2θ = 62.72°, I 26
- 2θ = 52.19°, I 24
- 2θ = 26.67°, I 15
- 2θ = 76.93°, I 15
- 2θ = 57.61°, I 12
- 2θ = 27.88°, I 12
- 2θ = 72.33°, I 12

Structural model:
Cell: 7.8386 7.8386 7.8386 Å, 60.00 60.00 60.00°
Atoms (fractional coordinates):
1 Cs 0.2500 0.2500 0.2500
2 Cs 0.7500 0.7500 0.7500
3 K 0.0000 0.0000 0.0000
4 Au 0.5000 0.5000 0.5000
5 Cl 0.2723 0.2723 0.7277
6 Cl 0.2723 0.7277 0.2723
7 Cl 0.2723 0.7277 0.7277
8 Cl 0.7277 0.2723 0.2723
9 Cl 0.7277 0.2723 0.7277
10 Cl 0.7277 0.7277 0.2723